For NdErTh2, DFT lattice parameters and positions (PBE) gives the theoretical powder X-ray diffraction pattern in this record (Cu Ka).
No peak broadening, texture or thermal motion is included.

Cell and atoms:
abc: 5.019 5.019 5.156
angles: 90.00 90.00 90.00
Space group P4/mmm (No. 123)
Unique sites:
Nd 0.000 0.000 0.000 (multiplicity 1)
Er 0.500 0.500 0.000 (multiplicity 1)
Th 0.000 0.500 0.500 (multiplicity 2)

Principal peaks in the range 2θ = 10–90°, in order of rising 2θ:
2theta	I (rel.)	(hkl)
30.6	100	1 1 1
34.8	18	0 0 2
35.8	33	2 0 0
50.8	25	2 0 2
59.8	15	1 1 3
61.1	29	3 1 1
63.7	13	2 2 2
82.8	12	3 1 3



For CaTiB12, DFT lattice parameters and positions (PBE) gives the theoretical powder X-ray diffraction pattern in this record (Cu Ka).
No peak broadening, texture or thermal motion is included.

Cell and atoms:
abc: 4.115 4.115 8.211
angles: 90.00 90.00 90.00
Space group P4/mmm (No. 123)
Unique sites:
Ca 0.000 0.000 0.000 (multiplicity 1)
Ti 0.000 0.000 0.500 (multiplicity 1)
B 0.200 0.500 0.253 (multiplicity 8)
B 0.500 0.500 0.102 (multiplicity 2)
B 0.500 0.500 0.402 (multiplicity 2)

Principal peaks in the range 2θ = 10–90°, in order of rising 2θ:
2theta	I (rel.)	(hkl)
21.6	8	0 0 2
30.8	100	1 1 0
37.9	49	1 1 2
44.0	17	2 0 0
44.1	8	0 0 4
49.6	38	2 1 0
68.5	32	2 2 2
72.7	15	3 1 0



For Ac2La3Pb4, DFT lattice parameters and positions (PBE) gives the theoretical powder X-ray diffraction pattern in this record (Cu Ka).
No peak broadening, texture or thermal motion is included.

Cell and atoms:
abc: 8.978 8.913 8.723
angles: 90.00 111.75 90.00
Space group P2_1/c (No. 14)
Unique sites:
Ac 0.196 0.180 0.061 (multiplicity 4)
La 0.241 0.660 0.234 (multiplicity 4)
La 0.500 0.000 0.500 (multiplicity 2)
Pb 0.088 0.540 0.832 (multiplicity 4)
Pb 0.496 0.136 0.867 (multiplicity 4)

Principal peaks in the range 2θ = 10–90°, in order of rising 2θ:
2theta	I (rel.)	(hkl)
26.3	58	2 1 -2
28.4	100	2 2 -1
28.8	52	1 2 -2
29.3	55	2 2 0
29.6	90	1 1 2
31.6	43	3 0 -2
32.1	58	0 3 1
32.4	84	1 1 -3



For Ac3DySb4, DFT lattice parameters and positions (PBE) gives the theoretical powder X-ray diffraction pattern in this record (Cu Ka).
No peak broadening, texture or thermal motion is included.

Cell and atoms:
abc: 8.141 9.416 8.144
angles: 90.00 109.52 90.00
Space group P2/c (No. 13)
Unique sites:
Ac 0.000 0.124 0.250 (multiplicity 2)
Ac 0.000 0.372 0.750 (multiplicity 2)
Ac 0.500 0.373 0.250 (multiplicity 2)
Dy 0.500 0.123 0.750 (multiplicity 2)
Sb 0.257 0.367 0.509 (multiplicity 4)
Sb 0.266 0.116 0.999 (multiplicity 4)

Principal peaks in the range 2θ = 10–90°, in order of rising 2θ:
2theta	I (rel.)	(hkl)
23.2	12	2 0 0
26.8	100	1 2 1
38.3	78	1 2 -3
47.3	28	0 0 4
55.2	13	2 4 2
62.4	30	0 4 4
69.2	16	2 0 -6
69.3	11	1 2 5



For Ti2MoSe2Cl4, DFT lattice parameters and positions (PBE) gives the theoretical powder X-ray diffraction pattern in this record (Cu Ka).
No peak broadening, texture or thermal motion is included.

Cell and atoms:
abc: 3.2960 3.2960 21.7944
angles: 90.00 90.00 120.00
Space group P3m1 (No. 156)
Unique sites:
Ti 0.0000 0.0000 0.0000 (multiplicity 1)
Ti 0.3333 0.6667 0.3209 (multiplicity 1)
Mo 0.3333 0.6667 0.6689 (multiplicity 1)
Se 0.0000 0.0000 0.5917 (multiplicity 1)
Se 0.0000 0.0000 0.7461 (multiplicity 1)
Cl 0.0000 0.0000 0.2485 (multiplicity 1)
Cl 0.0000 0.0000 0.3934 (multiplicity 1)
Cl 0.3333 0.6667 0.0725 (multiplicity 1)
Cl 0.3333 0.6667 0.9275 (multiplicity 1)

Principal peaks in the range 2θ = 10–90°, in order of rising 2θ:
2theta	I (rel.)	(hkl)
12.2	100	0 0 3
31.3	33	1 0 0
33.7	16	1 0 3
37.7	46	1 0 5
40.2	24	0 1 6
43.0	19	0 1 7
46.1	32	1 0 8
55.8	22	1 1 0



For Zr4TlCd3, DFT lattice parameters and positions (PBE) gives the theoretical powder X-ray diffraction pattern in this record (Cu Ka).
No peak broadening, texture or thermal motion is included.

Cell and atoms:
abc: 10.293 6.344 5.398
angles: 90.00 90.00 90.00
Space group Pmma (No. 51)
Unique sites:
Zr 0.000 0.248 0.000 (multiplicity 4)
Zr 0.250 0.249 0.355 (multiplicity 4)
Tl 0.000 0.500 0.500 (multiplicity 2)
Cd 0.000 0.000 0.500 (multiplicity 2)
Cd 0.250 0.000 0.851 (multiplicity 2)
Cd 0.250 0.500 0.860 (multiplicity 2)

Principal peaks in the range 2θ = 10–90°, in order of rising 2θ:
2theta	I (rel.)	(hkl)
33.9	24	1 2 1
34.4	18	1 0 2
34.9	44	4 0 0
37.2	100	2 2 1
37.6	32	2 0 2
59.0	18	0 2 3
64.1	20	6 2 1
70.4	21	4 2 3



For Cs2AlSnBr6, DFT lattice parameters and positions (PBE) gives the theoretical powder X-ray diffraction pattern in this record (Cu Ka).
No peak broadening, texture or thermal motion is included.

Cell and atoms:
abc: 8.002 8.002 11.286
angles: 90.00 90.00 90.00
Space group I4/mmm (No. 139)
Unique sites:
Cs 0.000 0.500 0.250 (multiplicity 4)
Al 0.000 0.000 0.000 (multiplicity 2)
Sn 0.000 0.000 0.500 (multiplicity 2)
Br 0.000 0.000 0.234 (multiplicity 4)
Br 0.235 0.235 0.000 (multiplicity 8)

Principal peaks in the range 2θ = 10–90°, in order of rising 2θ:
2theta	I (rel.)	(hkl)
22.2	38	1 1 2
27.3	88	2 0 2
31.7	100	2 2 0
39.0	16	3 1 2
45.4	70	4 0 0
53.7	24	4 2 2
56.4	24	4 0 4
75.1	20	6 2 0



For Al4GeO7, DFT lattice parameters and positions (PBE) gives the theoretical powder X-ray diffraction pattern in this record (Cu Ka).
No peak broadening, texture or thermal motion is included.

Cell and atoms:
abc: 12.664 5.205 5.070
angles: 90.00 90.00 90.00
Space group Pmn2_1 (No. 31)
Unique sites:
Al 0.122 0.167 0.000 (multiplicity 4)
Al 0.242 0.670 0.985 (multiplicity 4)
Ge 0.000 0.660 0.715 (multiplicity 2)
O 0.000 0.320 0.916 (multiplicity 2)
O 0.117 0.830 0.925 (multiplicity 4)
O 0.155 0.185 0.327 (multiplicity 4)
O 0.218 0.363 0.826 (multiplicity 4)

Principal peaks in the range 2θ = 10–90°, in order of rising 2θ:
2theta	I (rel.)	(hkl)
18.9	100	1 0 1
24.5	30	0 1 1
25.5	27	1 1 1
27.2	38	3 1 0
27.5	39	3 0 1
28.3	59	2 1 1
33.1	45	4 1 0
41.5	26	2 2 1